PmNd2Ho2Th2: simulated XRD peak list (Cu Kα X-rays), based on a crystal structure in Alexandria, relaxed with GGA-PBE.

Crystal structure
abc: 17.3476 3.4988 8.8975
angles: 90.00 119.35 90.00
Element x y z (fractional)
Pm  0.0000  0.0000  0.0000
Pm  0.5000  0.5000  0.0000
Nd  0.1479  0.5000  0.4462
Nd  0.3521  0.0000  0.5538
Nd  0.6479  0.0000  0.4462
Nd  0.8521  0.5000  0.5538
Ho  0.2260  0.5000  0.1475
Ho  0.2740  0.0000  0.8525
Ho  0.7260  0.0000  0.1475
Ho  0.7740  0.5000  0.8525
Th  0.0704  0.5000  0.7264
Th  0.4296  0.0000  0.2736
Th  0.5704  0.0000  0.7264
Th  0.9296  0.5000  0.2736

Top 12 peaks for 15° ≤ 2θ ≤ 90°, sorted by position:
d [Å], I_rel, index
3.409, 47.7, 1 1 0
3.001, 35.9, 1 1 1
2.980, 57.2, 3 1 -1
2.924, 100.0, 2 0 -3
2.886, 95.4, 4 0 1
2.874, 27.8, 3 1 0
2.844, 93.0, 6 0 -2
2.698, 46.6, 3 1 -2
2.479, 36.5, 3 1 1
2.430, 34.1, 1 1 2
1.501, 27.5, 2 2 -3
1.496, 27.5, 4 2 1